Structure and theoretical powder diffractogram of Ba2Sb2O5 (the PBE geometry in the Materials Project; Cu Kα (λ = 1.5418 Å)).

Structural model:
Lattice parameters (Å, degrees): 6.517 7.629 7.629 30.56 90.00 90.00
Positions (direct):
1 Ba 0.000 0.000 0.000
2 Ba 0.500 0.354 0.354
3 Sb 0.000 0.747 0.747
4 Sb 0.500 0.608 0.608
5 O 0.222 0.837 0.837
6 O 0.275 0.521 0.521
7 O 0.500 0.154 0.154
8 O 0.725 0.521 0.521
9 O 0.778 0.837 0.837

Most intense lines, 10 to 90 degrees two-theta, by angle:
2θ/deg  d_spacing  I/Imax
26.74  3.333  100
27.37  3.259  41
27.84  3.204  92
28.70  3.110  19
31.88  2.807  17
37.88  2.375  18
40.08  2.250  38
47.36  1.920  23
48.67  1.871  22
53.83  1.703  29